(1)
La5CeSm: computed powder X-ray diffraction pattern (copper Kα), based on a GGA-PBE-relaxed structure.

Atomic structure:
```
data_La5CeSm
_chemical_formula_sum 'La5 Ce1 Sm1'
_cell_length_a 6.249
_cell_length_b 6.250
_cell_length_c 7.292
_cell_angle_alpha 98.43
_cell_angle_beta 98.33
_cell_angle_gamma 112.70
_symmetry_space_group_name_H-M 'P -1'
_symmetry_Int_Tables_number 2
_symmetry_space_group_name_Hall '-P 1'
loop_
_atom_site_label
_atom_site_type_symbol
_atom_site_fract_x
_atom_site_fract_y
_atom_site_fract_z
La1 La 0.000 0.000 0.000
La2 La 0.120 0.543 0.269
La3 La 0.458 0.879 0.731
Ce1 Ce 0.500 0.500 0.000
Sm1 Sm 0.000 0.000 0.500
```

The 10 most intense peaks (15 to 90 degrees two-theta), by angle:
- d 3.983, rel. 18.7, hkl 0 1 1
- d 3.078, rel. 15.4, hkl 1 -2 0
- d 2.955, rel. 31.3, hkl -2 1 1
- d 2.914, rel. 100.0, hkl 1 -1 2
- d 2.836, rel. 29.7, hkl 0 2 -1
- d 2.821, rel. 37.8, hkl 1 1 -2
- d 2.811, rel. 51.9, hkl 2 0 0
- d 2.751, rel. 20.8, hkl 1 1 1
- d 2.601, rel. 24.4, hkl 2 -2 0
- d 1.666, rel. 16.7, hkl 2 0 -4


(2)
La10CeSm4: computed powder X-ray diffraction pattern (copper Kα), based on a GGA-PBE-relaxed structure.

Atomic structure:
```
data_La10CeSm4
_chemical_formula_sum 'La20 Ce2 Sm8'
_cell_length_a 9.971
_cell_length_b 9.971
_cell_length_c 10.708
_cell_angle_alpha 90.00
_cell_angle_beta 90.00
_cell_angle_gamma 90.00
_symmetry_space_group_name_H-M 'I 4/m'
_symmetry_Int_Tables_number 87
_symmetry_space_group_name_Hall '-I 4'
loop_
_atom_site_label
_atom_site_type_symbol
_atom_site_fract_x
_atom_site_fract_y
_atom_site_fract_z
La1 La 0.000 0.500 0.250
La2 La 0.116 0.206 0.156
Ce1 Ce 0.000 0.000 0.500
Sm1 Sm 0.052 0.324 0.500
```

The 10 most intense peaks (15 to 90 degrees two-theta), by angle:
- d 3.360, rel. 81.0, hkl 1 0 3
- d 3.174, rel. 100.0, hkl 3 0 1
- d 3.153, rel. 92.8, hkl 3 1 0
- d 2.787, rel. 75.8, hkl 2 1 3
- d 2.717, rel. 77.5, hkl 3 1 2
- d 2.678, rel. 36.3, hkl 3 2 1
- d 2.358, rel. 26.1, hkl 2 0 4
- d 2.230, rel. 23.7, hkl 2 4 0
- d 2.186, rel. 29.9, hkl 2 3 3
- d 2.058, rel. 34.0, hkl 2 4 2


(3)
La3CeSm12: computed powder X-ray diffraction pattern (copper Kα), based on a GGA-PBE-relaxed structure.

Atomic structure:
```
data_La3CeSm12
_chemical_formula_sum 'La3 Ce1 Sm12'
_cell_length_a 5.158
_cell_length_b 5.158
_cell_length_c 20.607
_cell_angle_alpha 90.00
_cell_angle_beta 90.00
_cell_angle_gamma 90.00
_symmetry_space_group_name_H-M 'P 4/m m m'
_symmetry_Int_Tables_number 123
_symmetry_space_group_name_Hall '-P 4 2'
loop_
_atom_site_label
_atom_site_type_symbol
_atom_site_fract_x
_atom_site_fract_y
_atom_site_fract_z
La1 La 0.000 0.000 0.000
La2 La 0.000 0.000 0.252
Ce1 Ce 0.000 0.000 0.500
Sm1 Sm 0.000 0.500 0.126
Sm2 Sm 0.000 0.500 0.379
Sm3 Sm 0.500 0.500 0.000
Sm4 Sm 0.500 0.500 0.252
Sm5 Sm 0.500 0.500 0.500
```

The 10 most intense peaks (15 to 90 degrees two-theta), by angle:
- d 2.977, rel. 100.0, hkl 1 1 4
- d 2.578, rel. 50.6, hkl 2 0 0
- d 1.823, rel. 36.1, hkl 2 2 0
- d 1.555, rel. 42.9, hkl 3 1 4
- d 1.488, rel. 12.3, hkl 2 2 8
- d 1.290, rel. 3.9, hkl 4 0 0
- d 1.288, rel. 1.8, hkl 0 0 16
- d 1.183, rel. 17.3, hkl 3 3 4
- d 1.153, rel. 10.9, hkl 4 2 0
- d 1.152, rel. 5.2, hkl 2 0 16


(4)
La12CeSm5: computed powder X-ray diffraction pattern (copper Kα), based on a GGA-PBE-relaxed structure.

Atomic structure:
```
data_La12CeSm5
_chemical_formula_sum 'La24 Ce2 Sm10'
_cell_length_a 19.205
_cell_length_b 11.062
_cell_length_c 6.403
_cell_angle_alpha 90.00
_cell_angle_beta 109.43
_cell_angle_gamma 90.00
_symmetry_space_group_name_H-M 'C 1 2/m 1'
_symmetry_Int_Tables_number 12
_symmetry_space_group_name_Hall '-C 2y'
loop_
_atom_site_label
_atom_site_type_symbol
_atom_site_fract_x
_atom_site_fract_y
_atom_site_fract_z
La1 La 0.000 0.164 0.000
La2 La 0.000 0.328 0.500
La3 La 0.164 0.165 0.830
La4 La 0.167 0.332 0.333
Ce1 Ce 0.000 0.000 0.500
Sm1 Sm 0.000 0.500 0.000
Sm2 Sm 0.165 0.000 0.336
Sm3 Sm 0.167 0.500 0.831
```

The 10 most intense peaks (15 to 90 degrees two-theta), by angle:
- d 3.016, rel. 100.0, hkl 6 0 0
- d 2.612, rel. 50.7, hkl 2 0 2
- d 1.847, rel. 30.3, hkl 3 3 -3
- d 1.577, rel. 7.2, hkl 2 0 -4
- d 1.575, rel. 21.6, hkl 3 3 3
- d 1.573, rel. 14.3, hkl 6 6 0
- d 1.509, rel. 6.2, hkl 8 0 -4
- d 1.507, rel. 6.2, hkl 2 6 2
- d 1.199, rel. 8.7, hkl 7 3 -5
- d 1.169, rel. 8.1, hkl 1 3 -5